No. 1
Starting from a PBE-relaxed structure, the X-ray diffraction stick pattern of Li2CeDyHg4 was calculated for Cu Ka.
Peak positions follow from Bragg's law for the DFT cell and can differ from measured ones.

Structural model:
```
data_Li2CeDyHg4
_cell_length_a 5.0882
_cell_length_b 5.0882
_cell_length_c 24.9352
_cell_angle_alpha 90.00
_cell_angle_beta 90.00
_cell_angle_gamma 120.00
_space_group_name_H-M_alt 'R -3 m'
_space_group_IT_number 166
_space_group_name_Hall '-R 3 2"'
loop_
_atom_site_label
_atom_site_fract_x
_atom_site_fract_y
_atom_site_fract_z
Li1 0.0000 0.0000 0.2487
Ce1 0.0000 0.0000 0.0000
Dy1 0.0000 0.0000 0.5000
Hg1 0.0000 0.0000 0.1272
Hg2 0.0000 0.0000 0.3773
```

Peak list (10 most intense, 10° ≤ 2θ ≤ 90°, low angle first)
2θ = 21.39°, I 16, (0 1 2)
2θ = 24.74°, I 24, (1 0 4)
2θ = 35.27°, I 100, (1 1 0)
2θ = 41.62°, I 9, (1 0 10)
2θ = 43.57°, I 7, (0 2 4)
2θ = 50.74°, I 18, (2 0 8)
2θ = 57.25°, I 10, (2 1 4)
2θ = 63.31°, I 37, (3 0 0)
2θ = 74.60°, I 12, (2 2 0)
2θ = 85.30°, I 17, (3 1 8)


No. 2
Starting from a PBE-relaxed structure, the X-ray diffraction stick pattern of Pr2MnInPt6 was calculated for Cu Ka.
Peak positions follow from Bragg's law for the DFT cell and can differ from measured ones.

Structural model:
```
data_Pr2MnInPt6
_cell_length_a 5.6557
_cell_length_b 5.6557
_cell_length_c 25.2495
_cell_angle_alpha 90.00
_cell_angle_beta 90.00
_cell_angle_gamma 120.00
_space_group_name_H-M_alt 'R -3 m'
_space_group_IT_number 166
_space_group_name_Hall '-R 3 2"'
loop_
_atom_site_label
_atom_site_fract_x
_atom_site_fract_y
_atom_site_fract_z
Pr1 0.0000 0.0000 0.2017
Mn1 0.0000 0.0000 0.5000
In1 0.0000 0.0000 0.0000
Pt1 0.0020 0.5010 0.7564
```

Peak list (10 most intense, 10° ≤ 2θ ≤ 90°, low angle first)
2θ = 10.51°, I 36, (0 0 3)
2θ = 19.44°, I 31, (0 1 2)
2θ = 21.11°, I 62, (0 0 6)
2θ = 37.41°, I 85, (2 0 2)
2θ = 38.35°, I 41, (1 1 6)
2θ = 39.47°, I 100, (0 2 4)
2θ = 40.18°, I 32, (1 0 10)
2θ = 46.96°, I 34, (2 0 8)
2θ = 66.08°, I 29, (2 2 0)
2θ = 70.23°, I 17, (2 2 6)